(1)
Diffraction record for KGe3As3. The powder diffractogram is simulated, not measured: it uses a DFT-relaxed cell (PBE, the Materials Project) and Cu Ka.
Neutral-atom scattering factors, no anomalous dispersion.

Top 6 peaks for 2θ = 10–90°, by angle:
2θ 12.8, d 6.924, rel. 15.8; 2θ 29.4, d 3.039, rel. 100.0; 2θ 30.5, d 2.929, rel. 14.8; 2θ 45.1, d 2.012, rel. 15.1; 2θ 46.9, d 1.937, rel. 37.2; 2θ 49.1, d 1.854, rel. 16.5

abc: 10.1485 3.8750 18.9388
angles: 90.00 90.00 90.00
Fractional positions:
K 0.2213 0.2500 0.0426
K 0.2787 0.7500 0.5426
K 0.7213 0.2500 0.4574
K 0.7787 0.7500 0.9574
Ge 0.0206 0.2500 0.6313
Ge 0.0864 0.7500 0.2437
Ge 0.1923 0.7500 0.8433
Ge 0.3077 0.2500 0.3433
Ge 0.4136 0.2500 0.7437
Ge 0.4794 0.7500 0.1313
Ge 0.5206 0.2500 0.8687
Ge 0.5864 0.7500 0.2563
Ge 0.6923 0.7500 0.6567
Ge 0.8077 0.2500 0.1567
Ge 0.9136 0.2500 0.7563
Ge 0.9794 0.7500 0.3687
As 0.0439 0.2500 0.8693
As 0.1141 0.2500 0.4205
As 0.2388 0.2500 0.2188
As 0.2612 0.7500 0.7188
As 0.3859 0.7500 0.9205
As 0.4561 0.7500 0.3693
As 0.5439 0.2500 0.6307
As 0.6141 0.2500 0.0795
As 0.7388 0.2500 0.2812
As 0.7612 0.7500 0.7812
As 0.8859 0.7500 0.5795
As 0.9561 0.7500 0.1307

(2)
Diffraction record for K2GeAs2. The powder diffractogram is simulated, not measured: it uses a DFT-relaxed cell (PBE, the Materials Project) and Cu Ka.
Neutral-atom scattering factors, no anomalous dispersion.

Top 6 peaks for 2θ = 10–90°, by angle:
2θ 13.1, d 6.765, rel. 49.1; 2θ 14.1, d 6.285, rel. 100.0; 2θ 29.3, d 3.052, rel. 55.4; 2θ 34.9, d 2.573, rel. 43.7; 2θ 37.0, d 2.431, rel. 31.8; 2θ 37.9, d 2.375, rel. 59.7

abc: 8.3360 8.3360 8.3360
angles: 129.61 71.51 132.82
Fractional positions:
K 0.1421 0.1657 0.3078
K 0.3579 0.6657 0.0236
K 0.6421 0.3343 0.9764
K 0.8579 0.8343 0.6922
Ge 0.2500 0.7500 0.5000
Ge 0.7500 0.2500 0.5000
As 0.1038 0.6707 0.7745
As 0.3962 0.1707 0.5668
As 0.6038 0.8293 0.4332
As 0.8962 0.3293 0.2255

(3)
Diffraction record for Li5GeAs3. The powder diffractogram is simulated, not measured: it uses a DFT-relaxed cell (PBE, the Materials Project) and Cu Ka.
Neutral-atom scattering factors, no anomalous dispersion.

Top 6 peaks for 2θ = 10–90°, by angle:
2θ 25.2, d 3.529, rel. 100.0; 2θ 25.5, d 3.487, rel. 85.8; 2θ 29.4, d 3.038, rel. 30.2; 2θ 42.1, d 2.148, rel. 95.6; 2θ 49.5, d 1.841, rel. 27.4; 2θ 50.0, d 1.823, rel. 29.3

abc: 7.3958 7.3958 8.6734
angles: 106.96 106.96 48.48
Fractional positions:
Li 0.0853 0.5810 0.9150
Li 0.0890 0.5827 0.4206
Li 0.2477 0.7523 0.7500
Li 0.4173 0.9110 0.0794
Li 0.4190 0.9147 0.5850
Li 0.5810 0.0853 0.4150
Li 0.5827 0.0890 0.9206
Li 0.7523 0.2477 0.2500
Li 0.9110 0.4173 0.5794
Li 0.9147 0.4190 0.0850
Ge 0.2650 0.7350 0.2500
Ge 0.7350 0.2650 0.7500
As 0.0000 0.0000 0.0000
As 0.0000 0.0000 0.5000
As 0.3244 0.3537 0.1720
As 0.3537 0.3244 0.6720
As 0.6463 0.6756 0.3280
As 0.6756 0.6463 0.8280

(4)
Diffraction record for Li5GeAs3. The powder diffractogram is simulated, not measured: it uses a DFT-relaxed cell (PBE, the Materials Project) and Cu Ka.
Neutral-atom scattering factors, no anomalous dispersion.

Top 6 peaks for 2θ = 10–90°, by angle:
2θ 18.2, d 4.887, rel. 27.5; 2θ 25.2, d 3.535, rel. 100.0; 2θ 25.5, d 3.487, rel. 87.2; 2θ 41.6, d 2.173, rel. 25.5; 2θ 42.0, d 2.150, rel. 96.1; 2θ 42.5, d 2.128, rel. 23.7

abc: 7.3909 7.3909 8.6926
angles: 106.91 106.91 48.56
Fractional positions:
Li 0.0836 0.5762 0.1642
Li 0.0859 0.5797 0.6727
Li 0.2460 0.7540 0.5000
Li 0.2492 0.7555 0.0110
Li 0.4184 0.9130 0.3362
Li 0.5762 0.0836 0.6642
Li 0.5797 0.0859 0.1727
Li 0.7540 0.2460 0.0000
Li 0.7555 0.2492 0.5110
Li 0.9130 0.4184 0.8362
Ge 0.4040 0.9297 0.8420
Ge 0.9297 0.4040 0.3420
As 0.0229 0.9870 0.7596
As 0.3105 0.3444 0.4133
As 0.3444 0.3105 0.9133
As 0.6647 0.6665 0.0845
As 0.6665 0.6647 0.5845
As 0.9870 0.0229 0.2596

(5)
Diffraction record for Na5GeAs3. The powder diffractogram is simulated, not measured: it uses a DFT-relaxed cell (PBE, the Materials Project) and Cu Ka.
Neutral-atom scattering factors, no anomalous dispersion.

Top 6 peaks for 2θ = 10–90°, by angle:
2θ 12.4, d 7.143, rel. 57.2; 2θ 22.3, d 3.983, rel. 52.9; 2θ 31.3, d 2.854, rel. 59.8; 2θ 32.5, d 2.753, rel. 100.0; 2θ 37.8, d 2.381, rel. 65.0; 2θ 39.9, d 2.261, rel. 51.9

abc: 8.4033 7.6208 15.9565
angles: 90.00 121.75 90.00
Fractional positions:
Na 0.0047 0.1624 0.0813
Na 0.0047 0.3376 0.5813
Na 0.0821 0.0058 0.7574
Na 0.0821 0.4942 0.2574
Na 0.2593 0.5199 0.0861
Na 0.2593 0.9801 0.5861
Na 0.3148 0.6456 0.7424
Na 0.3148 0.8544 0.2424
Na 0.4155 0.0369 0.0859
Na 0.4155 0.4631 0.5859
Na 0.5845 0.5369 0.4141
Na 0.5845 0.9631 0.9141
Na 0.6852 0.1456 0.7576
Na 0.6852 0.3544 0.2576
Na 0.7407 0.0199 0.4139
Na 0.7407 0.4801 0.9139
Na 0.9179 0.5058 0.7426
Na 0.9179 0.9942 0.2426
Na 0.9953 0.6624 0.4187
Na 0.9953 0.8376 0.9187
Ge 0.3424 0.1432 0.4122
Ge 0.3424 0.3568 0.9122
Ge 0.6576 0.6432 0.0878
Ge 0.6576 0.8568 0.5878
As 0.0726 0.2348 0.9177
As 0.0726 0.2652 0.4177
As 0.3408 0.6907 0.9330
As 0.3408 0.8093 0.4330
As 0.3610 0.2403 0.2696
As 0.3610 0.2597 0.7696
As 0.6390 0.7403 0.2304
As 0.6390 0.7597 0.7304
As 0.6592 0.1907 0.5670
As 0.6592 0.3093 0.0670
As 0.9274 0.7348 0.5823
As 0.9274 0.7652 0.0823

(6)
Diffraction record for Na2Zn3GeAs4. The powder diffractogram is simulated, not measured: it uses a DFT-relaxed cell (PBE, the Materials Project) and Cu Ka.
Neutral-atom scattering factors, no anomalous dispersion.

Top 6 peaks for 2θ = 10–90°, by angle:
2θ 11.7, d 7.532, rel. 100.0; 2θ 24.8, d 3.584, rel. 99.6; 2θ 27.6, d 3.236, rel. 79.9; 2θ 34.5, d 2.598, rel. 70.6; 2θ 43.7, d 2.071, rel. 94.2; 2θ 44.0, d 2.058, rel. 59.2

abc: 8.5829 8.5829 7.1790
angles: 114.49 114.49 27.85
Fractional positions:
Na 0.0000 0.0000 0.0000
Na 0.5041 0.5041 0.5018
Zn 0.3273 0.3273 0.0074
Zn 0.7056 0.7056 0.0261
Zn 0.8358 0.8358 0.4863
Ge 0.1949 0.1949 0.5381
As 0.1381 0.1381 0.8092
As 0.3611 0.3611 0.6978
As 0.6416 0.6416 0.3030
As 0.8803 0.8803 0.2071